This entry pairs a crystal structure of La3Dy2Er2 with its computed powder diffractogram. Radiation: λ = 1.5418 Å (Cu Kα). Structure: a DFT-relaxed cell (GGA-PBE, Alexandria).
No peak broadening, texture or thermal motion is included.

Structure:
```
data_La3Dy2Er2
_cell_length_a 3.561
_cell_length_b 5.637
_cell_length_c 12.141
_cell_angle_alpha 103.38
_cell_angle_beta 98.42
_cell_angle_gamma 90.01
_space_group_name_H-M_alt 'P -1'
_space_group_IT_number 2
_space_group_name_Hall '-P 1'
loop_
_atom_site_label
_atom_site_type_symbol
_atom_site_fract_x
_atom_site_fract_y
_atom_site_fract_z
La1 La 0.000 0.000 0.000
La2 La 0.222 0.721 0.443
Dy1 Dy 0.421 0.422 0.843
Er1 Er 0.143 0.143 0.286
```

Top 10 peaks for 15 to 90 degrees two-theta, low angle first:
- 2θ 29.68, I 281, (1 1 -1)
- 2θ 30.67, I 493, (1 1 -2)
- 2θ 31.15, I 1000, (0 1 3)
- 2θ 31.60, I 253, (1 0 2)
- 2θ 31.75, I 503, (0 2 -1)
- 2θ 33.49, I 377, (1 -1 2)
- 2θ 36.92, I 156, (1 0 -4)
- 2θ 45.40, I 186, (1 2 1)
- 2θ 56.18, I 189, (0 3 2)
- 2θ 61.26, I 291, (2 1 -5)